The following is a calculated powder XRD pattern of AcPr6Ho2Er. It was derived from DFT lattice parameters and positions (PBE), using CuKα.

Cell and atoms:
```
data_AcPr6Ho2Er
_cell_length_a 9.477
_cell_length_b 15.547
_cell_length_c 9.786
_cell_angle_alpha 90.00
_cell_angle_beta 95.88
_cell_angle_gamma 90.00
_symmetry_space_group_name_H-M 'C 1 2/c 1'
_symmetry_Int_Tables_number 15
loop_
_symmetry_equiv_pos_as_xyz
'x,y,z'
'-x,-y,-z'
'-x,y,-z+1/2'
'x,-y,z+1/2'
'x+1/2,y+1/2,z'
'-x+1/2,-y+1/2,-z'
'-x+1/2,y+1/2,-z+1/2'
'x+1/2,-y+1/2,z+1/2'
loop_
_atom_site_label
_atom_site_fract_x
_atom_site_fract_y
_atom_site_fract_z
Ac1 0.000 0.028 0.250
Pr1 0.060 0.182 0.946
Pr2 0.099 0.390 0.117
Pr3 0.221 0.225 0.314
Ho1 0.240 0.447 0.452
Er1 0.000 0.414 0.750
```

Largest 10 diffraction maxima, by angle, 2θ = 15–90°:
2θ 27.50, rel. 100
2θ 29.53, rel. 64
2θ 29.83, rel. 74
2θ 30.00, rel. 86
2θ 30.27, rel. 55
2θ 30.62, rel. 53
2θ 31.37, rel. 39
2θ 33.13, rel. 48
2θ 33.90, rel. 23
2θ 57.10, rel. 25